Entry 1:
Diffraction record for GdPaNO. The powder diffractogram is calculated, not measured: it uses a GGA-PBE-relaxed structure and Cu Kα, 1.54184 Å.

Main lines, most intense first (2θ = 10–80°):
| 2θ (°) | intensity | index |
| --- | --- | --- |
| 31.29 | 1000 | 1 1 1 |
| 30.47 | 660 | 0 2 1 |
| 25.83 | 482 | 1 1 0 |
| 44.37 | 371 | 1 3 0 |
| 35.12 | 369 | 0 0 2 |
| 57.81 | 338 | 1 3 2 |
| 56.30 | 250 | 2 2 1 |
| 44.11 | 230 | 1 1 2 |

```
data_GdPaNO
_chemical_formula_sum 'Gd2 Pa2 N2 O2'
_cell_length_a 3.935
_cell_length_b 7.165
_cell_length_c 5.110
_cell_angle_alpha 90.00
_cell_angle_beta 90.00
_cell_angle_gamma 90.00
_space_group_name_H-M_alt 'P m c 21'
_space_group_IT_number 26
loop_
_space_group_symop_operation_xyz
'x,y,z'
'-x,-y,z+1/2'
'-x,y,z'
'x,-y,z+1/2'
loop_
_atom_site_label
_atom_site_type_symbol
_atom_site_fract_x
_atom_site_fract_y
_atom_site_fract_z
Gd1 Gd 0.000 0.161 0.000
Pa1 Pa 0.500 0.345 0.499
N1 N 0.000 0.163 0.501
O1 O 0.500 0.320 0.998
```

Entry 2:
Diffraction record for PrGdNO. The powder diffractogram is calculated, not measured: it uses a GGA-PBE-relaxed structure and Cu Kα, 1.54184 Å.

Main lines, most intense first (2θ = 10–80°):
| 2θ (°) | intensity | index |
| --- | --- | --- |
| 30.68 | 1000 | 2 1 1 |
| 31.49 | 394 | 0 2 1 |
| 25.09 | 357 | 2 1 0 |
| 43.64 | 337 | 4 0 0 |
| 35.15 | 336 | 0 0 2 |
| 45.39 | 312 | 2 3 0 |
| 58.68 | 285 | 2 3 2 |
| 26.06 | 233 | 0 2 0 |

```
data_PrGdNO
_chemical_formula_sum 'Pr4 Gd4 N4 O4'
_cell_length_a 8.304
_cell_length_b 6.838
_cell_length_c 5.106
_cell_angle_alpha 90.00
_cell_angle_beta 90.00
_cell_angle_gamma 90.00
_space_group_name_H-M_alt 'P b c m'
_space_group_IT_number 57
loop_
_space_group_symop_operation_xyz
'x,y,z'
'-x,-y,-z'
'-x,-y,z+1/2'
'x,y,-z+1/2'
'x,-y+1/2,-z'
'-x,y+1/2,z'
'-x,y+1/2,-z+1/2'
'x,-y+1/2,z+1/2'
loop_
_atom_site_label
_atom_site_type_symbol
_atom_site_fract_x
_atom_site_fract_y
_atom_site_fract_z
Pr1 Pr 0.126 0.069 0.250
Gd1 Gd 0.377 0.584 0.250
N1 N 0.382 0.578 0.750
O1 O 0.141 0.087 0.750
```

Entry 3:
Diffraction record for Gd3S2NO. The powder diffractogram is calculated, not measured: it uses a GGA-PBE-relaxed structure and Cu Kα, 1.54184 Å.

Main lines, most intense first (2θ = 10–80°):
| 2θ (°) | intensity | index |
| --- | --- | --- |
| 31.00 | 1000 | 1 1 2 |
| 27.81 | 461 | 4 0 -2 |
| 37.83 | 397 | 5 1 0 |
| 29.76 | 378 | 3 1 -1 |
| 26.81 | 369 | 4 0 1 |
| 46.08 | 349 | 3 1 -4 |
| 46.99 | 196 | 0 2 0 |
| 25.21 | 184 | 1 1 -1 |

```
data_Gd3S2NO
_chemical_formula_sum 'Gd12 S8 N4 O4'
_cell_length_a 15.266
_cell_length_b 3.868
_cell_length_c 9.605
_cell_angle_alpha 90.00
_cell_angle_beta 99.13
_cell_angle_gamma 90.00
_space_group_name_H-M_alt 'C 1 2/m 1'
_space_group_IT_number 12
loop_
_space_group_symop_operation_xyz
'x,y,z'
'-x,-y,-z'
'-x,y,-z'
'x,-y,z'
'x+1/2,y+1/2,z'
'-x+1/2,-y+1/2,-z'
'-x+1/2,y+1/2,-z'
'x+1/2,-y+1/2,z'
loop_
_atom_site_label
_atom_site_type_symbol
_atom_site_fract_x
_atom_site_fract_y
_atom_site_fract_z
Gd1 Gd 0.050 0.000 0.266
Gd2 Gd 0.112 0.500 0.946
Gd3 Gd 0.199 0.000 0.671
S1 S 0.134 0.500 0.472
S2 S 0.214 0.000 0.153
N1 N 0.097 0.000 0.807
O1 O 0.038 0.500 0.140
```

Entry 4:
Diffraction record for GdSbN2O. The powder diffractogram is calculated, not measured: it uses a GGA-PBE-relaxed structure and Cu Kα, 1.54184 Å.

Main lines, most intense first (2θ = 10–80°):
| 2θ (°) | intensity | index |
| --- | --- | --- |
| 31.83 | 1000 | 0 2 0 |
| 56.78 | 175 | 2 3 1 |
| 30.91 | 172 | 0 0 2 |
| 45.00 | 154 | 0 2 2 |
| 46.23 | 96 | 4 0 0 |
| 55.55 | 94 | 2 1 3 |
| 57.26 | 86 | 4 2 0 |
| 66.49 | 85 | 4 2 2 |

```
data_GdSbN2O
_chemical_formula_sum 'Gd4 Sb4 N8 O4'
_cell_length_a 7.855
_cell_length_b 5.612
_cell_length_c 5.787
_cell_angle_alpha 90.00
_cell_angle_beta 90.00
_cell_angle_gamma 90.00
_space_group_name_H-M_alt 'P m c 21'
_space_group_IT_number 26
loop_
_space_group_symop_operation_xyz
'x,y,z'
'-x,-y,z+1/2'
'-x,y,z'
'x,-y,z+1/2'
loop_
_atom_site_label
_atom_site_type_symbol
_atom_site_fract_x
_atom_site_fract_y
_atom_site_fract_z
Gd1 Gd 0.000 0.236 0.000
Gd2 Gd 0.500 0.254 0.884
Sb1 Sb 0.246 0.237 0.445
N1 N 0.000 0.367 0.397
N2 N 0.202 0.066 0.753
N3 N 0.500 0.156 0.481
O1 O 0.307 0.449 0.144
```

Entry 5:
Diffraction record for GdSbN2O. The powder diffractogram is calculated, not measured: it uses a GGA-PBE-relaxed structure and Cu Kα, 1.54184 Å.

Main lines, most intense first (2θ = 10–80°):
| 2θ (°) | intensity | index |
| --- | --- | --- |
| 31.48 | 1000 | 2 1 1 |
| 31.76 | 252 | 0 0 2 |
| 45.64 | 226 | 0 2 2 |
| 31.91 | 207 | 0 2 0 |
| 56.39 | 194 | 2 1 3 |
| 56.60 | 190 | 2 3 1 |
| 65.70 | 125 | 4 2 2 |
| 55.76 | 123 | 4 0 2 |

```
data_GdSbN2O
_chemical_formula_sum 'Gd4 Sb4 N8 O4'
_cell_length_a 8.131
_cell_length_b 5.608
_cell_length_c 5.636
_cell_angle_alpha 90.00
_cell_angle_beta 90.00
_cell_angle_gamma 90.00
_space_group_name_H-M_alt 'I m a 2'
_space_group_IT_number 46
loop_
_space_group_symop_operation_xyz
'x,y,z'
'-x,-y,z'
'-x+1/2,y,z'
'x+1/2,-y,z'
'x+1/2,y+1/2,z+1/2'
'-x+1/2,-y+1/2,z+1/2'
'-x,y+1/2,z+1/2'
'x,-y+1/2,z+1/2'
loop_
_atom_site_label
_atom_site_type_symbol
_atom_site_fract_x
_atom_site_fract_y
_atom_site_fract_z
Gd1 Gd 0.250 0.028 0.000
Sb1 Sb 0.000 0.000 0.504
N1 N 0.066 0.249 0.254
O1 O 0.250 0.611 0.014
```

Entry 6:
Diffraction record for GdSbN2O. The powder diffractogram is calculated, not measured: it uses a GGA-PBE-relaxed structure and Cu Kα, 1.54184 Å.

Main lines, most intense first (2θ = 10–80°):
| 2θ (°) | intensity | index |
| --- | --- | --- |
| 32.18 | 1000 | 1 1 1 |
| 31.88 | 574 | 0 2 1 |
| 30.21 | 424 | 0 0 2 |
| 28.31 | 330 | 1 1 0 |
| 59.28 | 274 | 1 3 2 |
| 41.88 | 256 | 1 1 2 |
| 49.71 | 245 | 1 3 0 |
| 54.91 | 237 | 1 1 3 |

```
data_GdSbN2O
_chemical_formula_sum 'Gd2 Sb2 N4 O2'
_cell_length_a 3.626
_cell_length_b 6.378
_cell_length_c 5.917
_cell_angle_alpha 90.00
_cell_angle_beta 90.00
_cell_angle_gamma 90.00
_space_group_name_H-M_alt 'P m c 21'
_space_group_IT_number 26
loop_
_space_group_symop_operation_xyz
'x,y,z'
'-x,-y,z+1/2'
'-x,y,z'
'x,-y,z+1/2'
loop_
_atom_site_label
_atom_site_type_symbol
_atom_site_fract_x
_atom_site_fract_y
_atom_site_fract_z
Gd1 Gd 0.000 0.152 0.000
Sb1 Sb 0.500 0.327 0.539
N1 N 0.000 0.201 0.601
N2 N 0.500 0.394 0.893
O1 O 0.500 0.106 0.275
```

Entry 7:
Diffraction record for GdSbN2O. The powder diffractogram is calculated, not measured: it uses a GGA-PBE-relaxed structure and Cu Kα, 1.54184 Å.

Main lines, most intense first (2θ = 10–80°):
| 2θ (°) | intensity | index |
| --- | --- | --- |
| 31.53 | 1000 | 1 2 1 |
| 32.42 | 232 | 0 0 2 |
| 31.33 | 212 | 2 0 0 |
| 57.27 | 201 | 1 2 3 |
| 45.70 | 176 | 2 0 2 |
| 44.68 | 132 | 0 4 0 |
| 56.28 | 112 | 0 4 2 |
| 55.89 | 107 | 3 2 1 |

```
data_GdSbN2O
_chemical_formula_sum 'Gd4 Sb4 N8 O4'
_cell_length_a 5.711
_cell_length_b 8.113
_cell_length_c 5.523
_cell_angle_alpha 90.00
_cell_angle_beta 90.00
_cell_angle_gamma 90.00
_space_group_name_H-M_alt 'P n m a'
_space_group_IT_number 62
loop_
_space_group_symop_operation_xyz
'x,y,z'
'-x,-y,-z'
'-x+1/2,-y,z+1/2'
'x+1/2,y,-z+1/2'
'x+1/2,-y+1/2,-z+1/2'
'-x+1/2,y+1/2,z+1/2'
'-x,y+1/2,-z'
'x,-y+1/2,z'
loop_
_atom_site_label
_atom_site_type_symbol
_atom_site_fract_x
_atom_site_fract_y
_atom_site_fract_z
Gd1 Gd 0.059 0.250 0.024
Sb1 Sb 0.000 0.000 0.500
N1 N 0.201 0.559 0.801
O1 O 0.036 0.750 0.385
```

Entry 8:
Diffraction record for GdSbN2O. The powder diffractogram is calculated, not measured: it uses a GGA-PBE-relaxed structure and Cu Kα, 1.54184 Å.

Main lines, most intense first (2θ = 10–80°):
| 2θ (°) | intensity | index |
| --- | --- | --- |
| 31.55 | 1000 | 1 2 1 |
| 32.39 | 233 | 0 0 2 |
| 31.34 | 211 | 2 0 0 |
| 57.24 | 202 | 1 2 3 |
| 45.69 | 176 | 2 0 2 |
| 44.73 | 132 | 0 4 0 |
| 56.30 | 112 | 0 4 2 |
| 55.92 | 106 | 3 2 1 |

```
data_GdSbN2O
_chemical_formula_sum 'Gd4 Sb4 N8 O4'
_cell_length_a 5.708
_cell_length_b 8.104
_cell_length_c 5.529
_cell_angle_alpha 90.00
_cell_angle_beta 90.00
_cell_angle_gamma 90.00
_space_group_name_H-M_alt 'P n m a'
_space_group_IT_number 62
loop_
_space_group_symop_operation_xyz
'x,y,z'
'-x,-y,-z'
'-x+1/2,-y,z+1/2'
'x+1/2,y,-z+1/2'
'x+1/2,-y+1/2,-z+1/2'
'-x+1/2,y+1/2,z+1/2'
'-x,y+1/2,-z'
'x,-y+1/2,z'
loop_
_atom_site_label
_atom_site_type_symbol
_atom_site_fract_x
_atom_site_fract_y
_atom_site_fract_z
Gd1 Gd 0.059 0.250 0.024
Sb1 Sb 0.000 0.000 0.500
N1 N 0.201 0.559 0.801
O1 O 0.036 0.750 0.386
```

Entry 9:
Diffraction record for GdSbN2O. The powder diffractogram is calculated, not measured: it uses a GGA-PBE-relaxed structure and Cu Kα, 1.54184 Å.

Main lines, most intense first (2θ = 10–80°):
| 2θ (°) | intensity | index |
| --- | --- | --- |
| 31.70 | 1000 | 2 0 2 |
| 31.44 | 992 | 0 2 -2 |
| 32.18 | 471 | 2 -2 0 |
| 45.06 | 429 | 0 0 4 |
| 31.25 | 421 | 2 2 0 |
| 57.23 | 217 | 4 -2 2 |
| 56.43 | 215 | 2 -2 4 |
| 56.75 | 201 | 2 -4 2 |

```
data_GdSbN2O
_chemical_formula_sum 'Gd8 Sb8 N16 O8'
_cell_length_a 7.920
_cell_length_b 8.046
_cell_length_c 8.052
_cell_angle_alpha 89.86
_cell_angle_beta 89.99
_cell_angle_gamma 88.37
_space_group_name_H-M_alt 'P -1'
_space_group_IT_number 2
loop_
_space_group_symop_operation_xyz
'x,y,z'
'-x,-y,-z'
loop_
_atom_site_label
_atom_site_type_symbol
_atom_site_fract_x
_atom_site_fract_y
_atom_site_fract_z
Gd1 Gd 0.018 0.047 0.253
Gd2 Gd 0.040 0.517 0.247
Gd3 Gd 0.469 0.979 0.747
Gd4 Gd 0.479 0.468 0.755
Sb1 Sb 0.243 0.244 0.986
Sb2 Sb 0.247 0.763 0.010
Sb3 Sb 0.249 0.262 0.508
Sb4 Sb 0.251 0.744 0.491
N1 N 0.002 0.707 0.564
N2 N 0.003 0.697 0.941
N3 N 0.174 0.796 0.252
N4 N 0.203 0.002 0.930
N5 N 0.215 0.335 0.749
N6 N 0.303 0.499 0.436
N7 N 0.500 0.190 0.546
N8 N 0.500 0.209 0.943
O1 O 0.202 0.002 0.556
O2 O 0.285 0.184 0.247
O3 O 0.299 0.499 0.053
O4 O 0.322 0.718 0.751
```

Entry 10:
Diffraction record for GdScNO. The powder diffractogram is calculated, not measured: it uses a GGA-PBE-relaxed structure and Cu Kα, 1.54184 Å.

Main lines, most intense first (2θ = 10–80°):
| 2θ (°) | intensity | index |
| --- | --- | --- |
| 32.39 | 1000 | 1 1 1 |
| 23.22 | 458 | 1 0 1 |
| 37.32 | 383 | 2 0 0 |
| 26.42 | 382 | 0 1 1 |
| 33.96 | 335 | 1 0 2 |
| 48.94 | 314 | 0 1 3 |
| 22.26 | 306 | 0 1 0 |
| 28.29 | 303 | 0 0 2 |

```
data_GdScNO
_chemical_formula_sum 'Gd2 Sc2 N2 O2'
_cell_length_a 4.819
_cell_length_b 3.993
_cell_length_c 6.310
_cell_angle_alpha 90.00
_cell_angle_beta 90.00
_cell_angle_gamma 90.00
_space_group_name_H-M_alt 'P m m a'
_space_group_IT_number 51
loop_
_space_group_symop_operation_xyz
'x,y,z'
'-x,-y,-z'
'-x+1/2,-y,z'
'x+1/2,y,-z'
'x+1/2,-y,-z'
'-x+1/2,y,z'
'-x,y,-z'
'x,-y,z'
loop_
_atom_site_label
_atom_site_type_symbol
_atom_site_fract_x
_atom_site_fract_y
_atom_site_fract_z
Gd1 Gd 0.250 0.000 0.176
Sc1 Sc 0.250 0.500 0.683
N1 N 0.250 0.000 0.795
O1 O 0.250 0.500 0.353
```

Entry 11:
Diffraction record for GdScNO. The powder diffractogram is calculated, not measured: it uses a GGA-PBE-relaxed structure and Cu Kα, 1.54184 Å.

Main lines, most intense first (2θ = 10–80°):
| 2θ (°) | intensity | index |
| --- | --- | --- |
| 32.81 | 1000 | 1 0 1 |
| 37.62 | 634 | 1 1 0 |
| 55.26 | 391 | 1 1 2 |
| 26.36 | 385 | 1 0 0 |
| 19.19 | 365 | 0 0 1 |
| 64.88 | 295 | 2 1 1 |
| 38.94 | 287 | 0 0 2 |
| 54.26 | 207 | 2 0 0 |

```
data_GdScNO
_chemical_formula_sum 'Gd1 Sc1 N1 O1'
_cell_length_a 3.381
_cell_length_b 3.381
_cell_length_c 4.626
_cell_angle_alpha 90.00
_cell_angle_beta 90.00
_cell_angle_gamma 90.00
_space_group_name_H-M_alt 'P 4/m m m'
_space_group_IT_number 123
_space_group_name_Hall '-P 4 2'
loop_
_atom_site_label
_atom_site_type_symbol
_atom_site_fract_x
_atom_site_fract_y
_atom_site_fract_z
Gd1 Gd 0.000 0.000 0.000
Sc1 Sc 0.500 0.500 0.500
N1 N 0.500 0.500 0.000
O1 O 0.000 0.000 0.500
```